CdMoO4: calculated powder XRD pattern (Cu Kα, 1.54184 Å), based on a DFT-relaxed cell (PBE+U, the Materials Project).
Intensities are scaled so that the largest is 100.

Cell and atoms:
```
CdMoO4
1.0
-2.6275 2.6275 5.7067
2.6275 -2.6275 5.7067
2.6275 2.6275 -5.7067
Cd Mo O
2 2 8
Direct
0.3750 0.1250 0.2500
0.6250 0.8750 0.7500
0.1250 0.3750 0.7500
0.8750 0.6250 0.2500
0.0550 0.7053 0.8386
0.2053 0.8667 0.6503
0.2836 0.4450 0.1503
0.3667 0.2164 0.6614
0.6333 0.7836 0.3386
0.7164 0.5550 0.8497
0.7947 0.1333 0.3497
0.9450 0.2947 0.1614
```

Most intense lines, 2θ from 15° to 90°, by angle:
two_theta  d (Å)  I_rel
28.67  3.114  100
31.35  2.853  13
34.12  2.627  19
47.01  1.933  30
49.03  1.858  13
54.17  1.693  16
57.79  1.595  26
76.05  1.251  12

***

CdMoPO6: calculated powder XRD pattern (Cu Kα, 1.54184 Å), based on a DFT-relaxed cell (PBE+U, the Materials Project).
Intensities are scaled so that the largest is 100.

Cell and atoms:
```
CdMoPO6
1.0
4.9877 0.0000 0.0000
0.0000 8.6767 0.0000
-3.8552 0.0000 11.1952
Cd Mo P O
4 4 4 24
Direct
0.1715 0.1717 0.0760
0.1715 0.3283 0.5760
0.8285 0.6717 0.4240
0.8285 0.8283 0.9240
0.4888 0.0898 0.3861
0.4888 0.4102 0.8861
0.5112 0.5898 0.1139
0.5112 0.9102 0.6139
0.1814 0.0576 0.7906
0.1814 0.4424 0.2906
0.8186 0.5576 0.7094
0.8186 0.9424 0.2094
0.0903 0.5196 0.8111
0.0903 0.9804 0.3111
0.1572 0.0188 0.9140
0.1572 0.4812 0.4140
0.2219 0.7132 0.0618
0.2219 0.7868 0.5618
0.2388 0.2324 0.7761
0.2388 0.2676 0.2761
0.3723 0.1099 0.5348
0.3723 0.3901 0.0348
0.4405 0.5364 0.2769
0.4405 0.9636 0.7769
0.5595 0.0364 0.2231
0.5595 0.4636 0.7231
0.6277 0.6099 0.9652
0.6277 0.8901 0.4652
0.7612 0.7324 0.7239
0.7612 0.7676 0.2239
0.7781 0.2132 0.4382
0.7781 0.2868 0.9382
0.8428 0.5188 0.5860
0.8428 0.9812 0.0860
0.9097 0.0196 0.6889
0.9097 0.4804 0.1889
```

Most intense lines, 2θ from 15° to 90°, by angle:
two_theta  d (Å)  I_rel
20.62  4.308  65
21.45  4.143  100
21.97  4.045  47
24.96  3.568  66
27.31  3.266  73
28.98  3.081  47
31.41  2.848  71
31.63  2.829  93

***

CdTeMoO6: calculated powder XRD pattern (Cu Kα, 1.54184 Å), based on a DFT-relaxed cell (PBE+U, the Materials Project).
Intensities are scaled so that the largest is 100.

Cell and atoms:
```
CdTeMoO6
1.0
5.3616 0.0000 0.0000
0.0000 5.3616 0.0000
0.0000 0.0000 9.3456
Cd Te Mo O
2 2 2 12
Direct
0.0000 0.0000 0.0000
0.5000 0.5000 0.0000
0.0000 0.5000 0.2555
0.5000 0.0000 0.7445
0.0000 0.5000 0.6864
0.5000 0.0000 0.3136
0.1821 0.6821 0.5729
0.1920 0.3080 0.1223
0.2188 0.2812 0.7854
0.2812 0.7812 0.2146
0.3080 0.8080 0.8777
0.3179 0.1821 0.4271
0.6821 0.8179 0.4271
0.6920 0.1920 0.8777
0.7188 0.2188 0.2146
0.7812 0.7188 0.7854
0.8080 0.6920 0.1223
0.8179 0.3179 0.5729
```

Most intense lines, 2θ from 15° to 90°, by angle:
two_theta  d (Å)  I_rel
23.47  3.791  15
25.34  3.515  56
30.36  2.944  100
33.43  2.681  28
44.59  2.032  24
47.99  1.896  23
51.91  1.761  14
57.85  1.594  32

***

Cd4MoW3O16: calculated powder XRD pattern (Cu Kα, 1.54184 Å), based on a DFT-relaxed cell (PBE+U, the Materials Project).
Intensities are scaled so that the largest is 100.

Cell and atoms:
```
Cd4MoW3O16
1.0
5.1167 -5.9653 0.0000
5.1167 5.9653 0.0000
-0.2022 0.0000 5.1832
Cd Mo W O
4 1 3 16
Direct
0.2476 0.2476 0.0013
0.4439 0.0560 0.4981
0.7524 0.7524 0.9987
0.9440 0.5561 0.5019
0.7588 0.2412 0.0000
0.2622 0.7378 0.0000
0.4344 0.5656 0.5000
0.9345 0.0655 0.5000
0.0420 0.7151 0.8640
0.1547 0.0874 0.6381
0.1993 0.5989 0.3015
0.2849 0.9580 0.1360
0.2955 0.5029 0.8012
0.4011 0.8007 0.6985
0.4124 0.3459 0.3622
0.4971 0.7045 0.1988
0.5433 0.2165 0.8634
0.6541 0.5876 0.6378
0.6997 0.0993 0.2981
0.7835 0.4567 0.1366
0.7938 0.0025 0.7965
0.9007 0.3003 0.7019
0.9126 0.8453 0.3619
0.9975 0.2062 0.2035
```

Most intense lines, 2θ from 15° to 90°, by angle:
two_theta  d (Å)  I_rel
22.91  3.882  41
28.31  3.152  100
29.15  3.064  91
29.96  2.983  20
34.66  2.588  57
35.10  2.556  21
49.16  1.853  23
50.71  1.800  19

***

Cd4Mo3WO16: calculated powder XRD pattern (Cu Kα, 1.54184 Å), based on a DFT-relaxed cell (PBE+U, the Materials Project).
Intensities are scaled so that the largest is 100.

Cell and atoms:
```
Cd4Mo3WO16
1.0
5.2401 0.0000 0.0000
0.0000 5.2401 0.0000
0.0000 0.0000 11.5062
Cd Mo W O
4 3 1 16
Direct
0.0000 0.0000 0.0000
0.0000 0.5000 0.2499
0.5000 0.0000 0.7501
0.5000 0.5000 0.5000
0.0000 0.0000 0.5000
0.0000 0.5000 0.7499
0.5000 0.0000 0.2501
0.5000 0.5000 0.0000
0.1585 0.7550 0.4152
0.1598 0.2561 0.8350
0.2450 0.1585 0.5848
0.2447 0.6584 0.6651
0.2524 0.3398 0.0857
0.2561 0.8402 0.1650
0.3398 0.7476 0.9143
0.3416 0.2447 0.3349
0.6584 0.7553 0.3349
0.6602 0.2524 0.9143
0.7439 0.1598 0.1650
0.7476 0.6602 0.0857
0.7553 0.3416 0.6651
0.7550 0.8415 0.5848
0.8402 0.7439 0.8350
0.8415 0.2450 0.4152
```

Most intense lines, 2θ from 15° to 90°, by angle:
two_theta  d (Å)  I_rel
28.66  3.115  100
31.09  2.877  14
34.22  2.620  20
46.91  1.937  30
49.18  1.853  13
53.83  1.703  16
57.91  1.592  26
75.88  1.254  12

***

Cd2MoWO8: calculated powder XRD pattern (Cu Kα, 1.54184 Å), based on a DFT-relaxed cell (PBE+U, the Materials Project).
Intensities are scaled so that the largest is 100.

Cell and atoms:
```
Cd2MoWO8
1.0
-2.6361 2.6361 5.6975
2.6361 -2.6361 5.6975
2.6361 2.6361 -5.6975
Cd Mo W O
2 1 1 8
Direct
0.0000 0.0000 0.0000
0.7500 0.2500 0.5000
0.2500 0.7500 0.5000
0.5000 0.5000 0.0000
0.0057 0.9050 0.5840
0.0950 0.6790 0.1008
0.1680 0.2546 0.5969
0.3210 0.4218 0.4160
0.4289 0.8320 0.0866
0.5782 0.9943 0.8992
0.6577 0.5711 0.4031
0.7454 0.3423 0.9134
```

Most intense lines, 2θ from 15° to 90°, by angle:
two_theta  d (Å)  I_rel
28.62  3.120  100
31.40  2.849  14
34.01  2.636  21
46.96  1.935  30
48.86  1.864  13
54.20  1.692  16
57.61  1.600  27
75.94  1.253  19

***

CdNi2O4: calculated powder XRD pattern (Cu Kα, 1.54184 Å), based on a DFT-relaxed cell (PBE+U, the Materials Project).
Intensities are scaled so that the largest is 100.

Cell and atoms:
```
CdNi2O4
1.0
-2.9168 2.9168 4.6995
2.9168 -2.9168 4.6995
2.9168 2.9168 -4.6995
Cd Ni O
2 4 8
Direct
0.3750 0.6250 0.7500
0.6250 0.3750 0.2500
0.0000 0.0000 0.0000
0.0000 0.0000 0.5000
0.0000 0.5000 0.0000
0.5000 0.0000 0.5000
0.1931 0.2288 0.9643
0.2288 0.1931 0.4643
0.2288 0.7645 0.0357
0.2355 0.7712 0.4643
0.7645 0.2288 0.5357
0.7712 0.2355 0.9643
0.7712 0.8069 0.5357
0.8069 0.7712 0.0357
```

Most intense lines, 2θ from 15° to 90°, by angle:
two_theta  d (Å)  I_rel
28.80  3.100  61
30.65  2.917  26
32.44  2.760  63
35.72  2.514  100
51.05  1.789  24
53.35  1.717  18
57.83  1.595  32
59.65  1.550  42